# Ba2YCu3O8
Calculated powder diffractogram, Cu Kα. Input: a cell relaxed with PBE.

Structural model:
abc: 3.932 3.932 11.574
angles: 90.00 90.00 90.00
Space group P4/mmm (No. 123)
Asymmetric unit:
1 Ba 0.000 0.000 0.169 x2
2 Y 0.000 0.000 0.500 x1
3 Cu 0.500 0.500 0.000 x1
4 Cu 0.500 0.500 0.346 x2
5 O 0.000 0.500 0.000 x2
6 O 0.000 0.500 0.379 x4
7 O 0.500 0.500 0.172 x2

Principal peaks in the range 2θ = 15–90°, by intensity:
| 2theta | I (rel.) |
| --- | --- |
| 32.51 | 100.0 |
| 32.19 | 45.6 |
| 57.60 | 38.1 |
| 46.17 | 31.3 |
| 58.21 | 20.1 |
| 68.09 | 13.9 |
| 39.97 | 13.3 |
| 47.11 | 11.1 |
| 67.35 | 9.2 |
| 76.80 | 8.1 |

# BaY2CuO5
Calculated powder diffractogram, Cu Kα. Input: a cell relaxed with PBE.

Structural model:
abc: 12.282 5.717 7.246
angles: 90.00 90.00 90.00
Space group Pnma (No. 62)
Asymmetric unit:
1 Ba 0.095 0.250 0.070 x4
2 Y 0.074 0.750 0.397 x4
3 Y 0.213 0.250 0.614 x4
4 Cu 0.160 0.750 0.784 x4
5 O 0.068 0.507 0.663 x8
6 O 0.100 0.750 0.084 x4
7 O 0.228 0.004 0.356 x8

Principal peaks in the range 2θ = 15–90°, by intensity:
| 2theta | I (rel.) |
| --- | --- |
| 29.53 | 100.0 |
| 30.10 | 64.2 |
| 31.29 | 46.6 |
| 45.10 | 33.3 |
| 40.13 | 23.9 |
| 32.70 | 19.6 |
| 31.65 | 19.4 |
| 51.74 | 18.4 |
| 54.61 | 17.0 |
| 58.37 | 14.9 |

# Ba2YCu4O8
Calculated powder diffractogram, Cu Kα. Input: a cell relaxed with PBE.

Structural model:
abc: 3.867 29.159 3.854
angles: 90.00 90.00 90.00
Space group Cmmm (No. 65)
Asymmetric unit:
1 Ba 0.000 0.136 0.000 x4
2 Y 0.000 0.500 0.500 x2
3 Cu 0.000 0.285 0.500 x4
4 Cu 0.000 0.417 0.500 x4
5 O 0.000 0.057 0.500 x4
6 O 0.000 0.221 0.500 x4
7 O 0.000 0.349 0.500 x4
8 O 0.000 0.442 0.000 x4

Principal peaks in the range 2θ = 15–90°, by intensity:
| 2theta | I (rel.) |
| --- | --- |
| 32.96 | 100.0 |
| 26.16 | 90.0 |
| 31.57 | 54.0 |
| 34.12 | 46.5 |
| 46.99 | 38.5 |
| 47.17 | 38.0 |
| 38.72 | 36.0 |
| 24.78 | 35.2 |
| 41.29 | 31.1 |
| 43.45 | 30.7 |

# Ba4Y2Cu5O14
Calculated powder diffractogram, Cu Kα. Input: a cell relaxed with PBE.

Structural model:
abc: 7.761 7.785 12.702
angles: 90.00 107.70 90.00
Space group Cm (No. 8)
Asymmetric unit:
1 Ba 0.000 0.250 0.000 x4
2 Ba 0.195 0.250 0.388 x4
3 Y 0.354 0.250 0.708 x4
4 Cu 0.028 0.000 0.556 x2
5 Cu 0.028 0.500 0.558 x2
6 Cu 0.160 0.000 0.822 x2
7 Cu 0.351 0.000 0.200 x2
8 Cu 0.353 0.500 0.204 x2
9 O 0.038 0.251 0.577 x4
10 O 0.158 0.236 0.816 x4
11 O 0.273 0.000 0.049 x2
12 O 0.276 0.500 0.054 x2
13 O 0.287 0.500 0.576 x2
14 O 0.289 0.000 0.576 x2
15 O 0.362 0.250 0.199 x4
16 O 0.395 0.000 0.817 x2
17 O 0.421 0.500 0.817 x2
18 O 0.426 0.000 0.354 x2
19 O 0.428 0.500 0.358 x2

Principal peaks in the range 2θ = 15–90°, by intensity:
| 2theta | I (rel.) |
| --- | --- |
| 31.98 | 100.0 |
| 32.58 | 56.1 |
| 57.73 | 27.8 |
| 27.28 | 21.0 |
| 39.68 | 17.7 |
| 46.67 | 17.7 |
| 46.82 | 17.4 |
| 22.87 | 12.8 |
| 37.15 | 12.1 |
| 56.61 | 11.6 |

# BaZnCu4O8
Calculated powder diffractogram, Cu Kα. Input: a cell relaxed with PBE.

Structural model:
abc: 5.3097 5.3097 7.1566
angles: 90.00 90.00 120.00
Space group P-31m (No. 162)
Asymmetric unit:
1 Ba 0.0000 0.0000 0.0000 x1
2 Zn 0.0000 0.0000 0.5000 x1
3 Cu 0.3333 0.6667 0.2627 x4
4 O 0.0000 0.3119 0.3208 x6
5 O 0.3333 0.6667 0.0000 x2

Principal peaks in the range 2θ = 15–90°, by intensity:
| 2theta | I (rel.) |
| --- | --- |
| 31.68 | 100.0 |
| 33.76 | 90.2 |
| 46.98 | 35.7 |
| 59.09 | 34.2 |
| 62.61 | 33.1 |
| 60.39 | 24.8 |
| 79.84 | 13.0 |
| 82.95 | 12.8 |
| 36.08 | 9.9 |
| 71.01 | 9.6 |

# BaCuP
Calculated powder diffractogram, Cu Kα. Input: a cell relaxed with PBE.

Structural model:
abc: 4.2206 4.2206 9.2247
angles: 90.00 90.00 120.00
Space group P6_3/mmc (No. 194)
Asymmetric unit:
1 Ba 0.0000 0.0000 0.0000 x2
2 Cu 0.3333 0.6667 0.2500 x2
3 P 0.3333 0.6667 0.7500 x2

Principal peaks in the range 2θ = 15–90°, by intensity:
| 2theta | I (rel.) |
| --- | --- |
| 31.22 | 100.0 |
| 42.85 | 33.2 |
| 59.36 | 24.6 |
| 53.97 | 20.5 |
| 24.35 | 18.4 |
| 71.26 | 17.8 |
| 39.06 | 14.5 |
| 65.91 | 11.2 |
| 46.56 | 6.6 |
| 81.88 | 6.1 |

# BaCu8P4
Calculated powder diffractogram, Cu Kα. Input: a cell relaxed with PBE.

Structural model:
abc: 10.202 10.202 3.865
angles: 90.00 90.00 90.00
Space group I4/m (No. 87)
Asymmetric unit:
1 Ba 0.000 0.000 0.000 x2
2 Cu 0.014 0.366 0.000 x8
3 Cu 0.161 0.271 0.500 x8
4 P 0.075 0.734 0.500 x8

Principal peaks in the range 2θ = 15–90°, by intensity:
| 2theta | I (rel.) |
| --- | --- |
| 35.15 | 100.0 |
| 50.59 | 59.5 |
| 43.42 | 55.0 |
| 27.65 | 45.3 |
| 30.31 | 36.5 |
| 47.02 | 32.9 |
| 52.29 | 31.7 |
| 39.47 | 22.5 |
| 72.94 | 22.2 |
| 85.01 | 21.5 |

# BaCu10P4
Calculated powder diffractogram, Cu Kα. Input: a cell relaxed with PBE.

Structural model:
abc: 23.352 3.889 9.548
angles: 90.00 92.55 90.00
Space group C2/m (No. 12)
Asymmetric unit:
1 Ba 0.143 0.000 0.283 x4
2 Cu 0.026 0.500 0.382 x4
3 Cu 0.033 0.500 0.118 x4
4 Cu 0.049 0.000 0.572 x4
5 Cu 0.057 0.000 0.952 x4
6 Cu 0.086 0.500 0.772 x4
7 Cu 0.151 0.000 0.648 x4
8 Cu 0.167 0.000 0.928 x4
9 Cu 0.213 0.500 0.802 x4
10 Cu 0.214 0.500 0.535 x4
11 Cu 0.223 0.500 0.068 x4
12 P 0.008 0.000 0.234 x4
13 P 0.108 0.500 0.537 x4
14 P 0.122 0.500 0.002 x4
15 P 0.247 0.000 0.690 x4

Principal peaks in the range 2θ = 15–90°, by intensity:
| 2theta | I (rel.) |
| --- | --- |
| 46.72 | 100.0 |
| 36.85 | 90.9 |
| 37.96 | 71.8 |
| 41.88 | 70.9 |
| 35.47 | 64.9 |
| 44.91 | 29.8 |
| 31.65 | 28.8 |
| 45.70 | 28.0 |
| 32.50 | 26.5 |
| 31.53 | 22.4 |

# BaCu10P4
Calculated powder diffractogram, Cu Kα. Input: a cell relaxed with PBE.

Structural model:
abc: 23.243 3.901 9.537
angles: 90.00 92.73 90.00
Space group Cm (No. 8)
Asymmetric unit:
1 Ba 0.000 0.000 0.000 x2
2 Ba 0.218 0.500 0.433 x2
3 Cu 0.008 0.000 0.368 x2
4 Cu 0.023 0.000 0.648 x2
5 Cu 0.069 0.500 0.520 x2
6 Cu 0.071 0.500 0.255 x2
7 Cu 0.080 0.500 0.789 x2
8 Cu 0.133 0.000 0.649 x2
9 Cu 0.142 0.000 0.180 x2
10 Cu 0.143 0.000 0.914 x2
11 Cu 0.190 0.500 0.786 x2
12 Cu 0.210 0.500 0.065 x2
13 Cu 0.271 0.000 0.944 x2
14 Cu 0.300 0.500 0.765 x2
15 Cu 0.308 0.500 0.148 x2
16 Cu 0.325 0.000 0.599 x2
17 Cu 0.334 0.000 0.335 x2
18 Cu 0.384 0.000 0.099 x2
19 Cu 0.393 0.000 0.835 x2
20 Cu 0.410 0.500 0.285 x2
21 Cu 0.418 0.500 0.668 x2
22 Cu 0.442 0.000 0.491 x2
23 P 0.108 0.000 0.403 x2
24 P 0.110 0.500 0.030 x2
25 P 0.235 0.000 0.715 x2
26 P 0.253 0.000 0.178 x2
27 P 0.350 0.500 0.484 x2
28 P 0.368 0.500 0.950 x2
29 P 0.465 0.000 0.255 x2
30 P 0.479 0.000 0.721 x2

Principal peaks in the range 2θ = 15–90°, by intensity:
| 2theta | I (rel.) |
| --- | --- |
| 46.56 | 100.0 |
| 36.84 | 86.7 |
| 37.93 | 78.1 |
| 35.52 | 75.2 |
| 41.99 | 67.4 |
| 44.92 | 34.4 |
| 45.68 | 33.6 |
| 32.68 | 27.3 |
| 36.48 | 24.9 |
| 49.66 | 24.7 |